# Y3Hf3TaN8
Calculated powder diffractogram, Cu Kα (weighted mean of Kα1 and Kα2). Input: a crystal structure in Alexandria, relaxed with PBE.
Peak positions follow from Bragg's law for the DFT cell and can differ from measured ones.

Peak list (12 most intense, 2θ = 10–90°, sorted by position)
- (0 0 3), 16.03°, rel. 52
- (0 0 6), 32.36°, rel. 61
- (2 0 2), 33.67°, rel. 95
- (0 2 4), 38.70°, rel. 100
- (2 0 5), 42.14°, rel. 11
- (2 0 8), 55.05°, rel. 34
- (2 2 0), 56.73°, rel. 32
- (2 2 3), 59.36°, rel. 11
- (0 2 10), 65.34°, rel. 16
- (2 2 6), 66.85°, rel. 32
- (0 4 2), 67.61°, rel. 14
- (4 0 4), 70.79°, rel. 16

Structural model:
Cell: 6.4909 6.4909 16.5831 Å, 90.00 90.00 120.00°
Space group R-3m (No. 166, hexagonal axes)
Inequivalent atoms, fractional coordinates:
Y  0.0000  0.5000  0.0000 [9 per cell]
Hf  0.0000  0.5000  0.5000 [9 per cell]
Ta  0.0000  0.0000  0.5000 [3 per cell]
N  0.0000  0.0000  0.2419 [6 per cell]
N  0.0146  0.5073  0.2374 [18 per cell]